(1)
This entry pairs a crystal structure of Rb4Cu3F10 with its simulated PXRD pattern. Radiation: Cu Kα, 1.54184 Å. Structure: the PBE geometry in Alexandria.
Neutral-atom scattering factors, no anomalous dispersion.

Structural model:
```
data_Rb4Cu3F10
_chemical_formula_sum 'Rb8 Cu6 F20'
_cell_length_a 4.1799
_cell_length_b 4.1799
_cell_length_c 30.0028
_cell_angle_alpha 90.00
_cell_angle_beta 90.00
_cell_angle_gamma 90.00
_space_group_name_H-M_alt 'I 4/m m m'
_space_group_IT_number 139
_space_group_name_Hall '-I 4 2'
loop_
_atom_site_label
_atom_site_type_symbol
_atom_site_fract_x
_atom_site_fract_y
_atom_site_fract_z
Rb1 Rb 0.0000 0.0000 0.0675
Rb2 Rb 0.0000 0.0000 0.2018
Cu1 Cu 0.0000 0.0000 0.3641
Cu2 Cu 0.0000 0.0000 0.5000
F1 F 0.0000 0.0000 0.2974
F2 F 0.0000 0.0000 0.4314
F3 F 0.0000 0.5000 0.0000
F4 F 0.0000 0.5000 0.1360
```

Principal peaks in the range 2θ from 15° to 90°, by angle:
- 29.86 deg, rel. 1000, hkl 1 0 7
- 30.24 deg, rel. 641, hkl 1 1 0
- 38.79 deg, rel. 191, hkl 1 1 8
- 42.17 deg, rel. 162, hkl 0 0 14
- 43.29 deg, rel. 488, hkl 2 0 0
- 53.48 deg, rel. 389, hkl 2 1 7
- 62.03 deg, rel. 183, hkl 2 0 14
- 62.89 deg, rel. 149, hkl 2 2 0

(2)
This entry pairs a crystal structure of TcB2H with its simulated PXRD pattern. Radiation: Cu Kα, 1.54184 Å. Structure: the PBE geometry in Alexandria.
Neutral-atom scattering factors, no anomalous dispersion.

Structural model:
```
data_TcB2H
_chemical_formula_sum 'Tc4 B8 H4'
_cell_length_a 3.1911
_cell_length_b 3.1911
_cell_length_c 12.2993
_cell_angle_alpha 90.00
_cell_angle_beta 90.00
_cell_angle_gamma 90.00
_space_group_name_H-M_alt 'I 41/a m d'
_space_group_IT_number 141
loop_
_space_group_symop_operation_xyz
'x,y,z'
'-x,-y,-z'
'-y+1/4,x+3/4,z+1/4'
'y+1/4,-x+3/4,-z+1/4'
'-x+1/2,-y,z+1/2'
'x+1/2,y,-z+1/2'
'y+1/4,-x+1/4,z+3/4'
'-y+1/4,x+1/4,-z+3/4'
'x,-y,-z'
'-x,y,z'
'-y+1/4,-x+1/4,-z+3/4'
'y+1/4,x+1/4,z+3/4'
'-x+1/2,y,-z+1/2'
'x+1/2,-y,z+1/2'
'y+1/4,x+3/4,-z+1/4'
'-y+1/4,-x+3/4,z+1/4'
'x+1/2,y+1/2,z+1/2'
'-x+1/2,-y+1/2,-z+1/2'
'-y+3/4,x+1/4,z+3/4'
'y+3/4,-x+1/4,-z+3/4'
'-x,-y+1/2,z'
'x,y+1/2,-z'
'y+3/4,-x+3/4,z+1/4'
'-y+3/4,x+3/4,-z+1/4'
'x+1/2,-y+1/2,-z+1/2'
'-x+1/2,y+1/2,z+1/2'
'-y+3/4,-x+3/4,-z+1/4'
'y+3/4,x+3/4,z+1/4'
'-x,y+1/2,-z'
'x,-y+1/2,z'
'y+3/4,x+1/4,-z+3/4'
'-y+3/4,-x+1/4,z+3/4'
loop_
_atom_site_label
_atom_site_type_symbol
_atom_site_fract_x
_atom_site_fract_y
_atom_site_fract_z
Tc1 Tc 0.0000 0.2500 0.3750
B1 B 0.0000 0.0000 0.0000
H1 H 0.0000 0.2500 0.8750
```

Principal peaks in the range 2θ from 15° to 90°, by angle:
- 28.91 deg, rel. 1000, hkl 1 0 1
- 29.04 deg, rel. 474, hkl 0 0 4
- 35.65 deg, rel. 923, hkl 1 0 3
- 42.68 deg, rel. 938, hkl 1 1 2
- 46.62 deg, rel. 419, hkl 1 0 5
- 61.07 deg, rel. 313, hkl 1 1 6
- 65.92 deg, rel. 534, hkl 2 0 4
- 88.23 deg, rel. 244, hkl 2 0 8

(3)
This entry pairs a crystal structure of Na2PmBO4 with its simulated PXRD pattern. Radiation: Cu Kα, 1.54184 Å. Structure: the PBE geometry in Alexandria.
Neutral-atom scattering factors, no anomalous dispersion.

Structural model:
```
data_Na2PmBO4
_chemical_formula_sum 'Na16 Pm8 B8 O32'
_cell_length_a 5.2717
_cell_length_b 10.8363
_cell_length_c 24.3619
_cell_angle_alpha 90.00
_cell_angle_beta 90.00
_cell_angle_gamma 90.00
_space_group_name_H-M_alt 'F d d d'
_space_group_IT_number 70
loop_
_space_group_symop_operation_xyz
'x,y,z'
'-x,-y,-z'
'-x+1/4,-y+1/4,z'
'x+1/4,y+1/4,-z'
'x,-y+1/4,-z+1/4'
'-x,y+1/4,z+1/4'
'-x+1/4,y,-z+1/4'
'x+1/4,-y,z+1/4'
'x,y+1/2,z+1/2'
'-x,-y+1/2,-z+1/2'
'-x+1/4,-y+3/4,z+1/2'
'x+1/4,y+3/4,-z+1/2'
'x,-y+3/4,-z+3/4'
'-x,y+3/4,z+3/4'
'-x+1/4,y+1/2,-z+3/4'
'x+1/4,-y+1/2,z+3/4'
'x+1/2,y,z+1/2'
'-x+1/2,-y,-z+1/2'
'-x+3/4,-y+1/4,z+1/2'
'x+3/4,y+1/4,-z+1/2'
'x+1/2,-y+1/4,-z+3/4'
'-x+1/2,y+1/4,z+3/4'
'-x+3/4,y,-z+3/4'
'x+3/4,-y,z+3/4'
'x+1/2,y+1/2,z'
'-x+1/2,-y+1/2,-z'
'-x+3/4,-y+3/4,z'
'x+3/4,y+3/4,-z'
'x+1/2,-y+3/4,-z+1/4'
'-x+1/2,y+3/4,z+1/4'
'-x+3/4,y+1/2,-z+1/4'
'x+3/4,-y+1/2,z+1/4'
loop_
_atom_site_label
_atom_site_type_symbol
_atom_site_fract_x
_atom_site_fract_y
_atom_site_fract_z
Na1 Na 0.1250 0.1250 0.3365
Pm1 Pm 0.1250 0.1250 0.1250
B1 B 0.1250 0.1250 0.6250
O1 O 0.0372 0.2859 0.8409
```

Principal peaks in the range 2θ from 15° to 90°, by angle:
- 17.92 deg, rel. 1000, hkl 0 2 2
- 19.07 deg, rel. 510, hkl 1 1 1
- 26.23 deg, rel. 391, hkl 1 1 5
- 27.45 deg, rel. 444, hkl 0 2 6
- 30.22 deg, rel. 381, hkl 1 3 1
- 35.31 deg, rel. 507, hkl 1 3 5
- 40.84 deg, rel. 487, hkl 2 2 4
- 45.24 deg, rel. 343, hkl 1 3 9

(4)
This entry pairs a crystal structure of Fe2PW2 with its simulated PXRD pattern. Radiation: Cu Kα, 1.54184 Å. Structure: the PBE geometry in Alexandria.
Neutral-atom scattering factors, no anomalous dispersion.

Structural model:
```
data_Fe2PW2
_chemical_formula_sum 'Fe4 P2 W4'
_cell_length_a 5.5292
_cell_length_b 5.5292
_cell_length_c 4.2766
_cell_angle_alpha 90.00
_cell_angle_beta 90.00
_cell_angle_gamma 90.00
_space_group_name_H-M_alt 'P 4/m b m'
_space_group_IT_number 127
_space_group_name_Hall '-P 4 2ab'
loop_
_atom_site_label
_atom_site_type_symbol
_atom_site_fract_x
_atom_site_fract_y
_atom_site_fract_z
Fe1 Fe 0.1463 0.3537 0.0000
P1 P 0.0000 0.0000 0.0000
W1 W 0.1706 0.6706 0.5000
```

Principal peaks in the range 2θ from 15° to 90°, by angle:
- 20.77 deg, rel. 206, hkl 0 0 1
- 32.38 deg, rel. 125, hkl 2 0 0
- 36.33 deg, rel. 148, hkl 2 1 0
- 38.79 deg, rel. 152, hkl 2 0 1
- 42.23 deg, rel. 1000, hkl 0 0 2
- 52.32 deg, rel. 119, hkl 3 1 0
- 74.10 deg, rel. 135, hkl 4 1 1
- 77.25 deg, rel. 132, hkl 2 1 3

(5)
This entry pairs a crystal structure of AcLaAg4 with its simulated PXRD pattern. Radiation: Cu Kα, 1.54184 Å. Structure: the PBE geometry in Alexandria.
Neutral-atom scattering factors, no anomalous dispersion.

Structural model:
```
data_AcLaAg4
_chemical_formula_sum 'Ac1 La1 Ag4'
_cell_length_a 4.8680
_cell_length_b 4.8680
_cell_length_c 7.6729
_cell_angle_alpha 90.00
_cell_angle_beta 90.00
_cell_angle_gamma 120.00
_space_group_name_H-M_alt 'P 6/m m m'
_space_group_IT_number 191
_space_group_name_Hall '-P 6 2'
loop_
_atom_site_label
_atom_site_type_symbol
_atom_site_fract_x
_atom_site_fract_y
_atom_site_fract_z
Ac1 Ac 0.0000 0.0000 0.0000
La1 La 0.0000 0.0000 0.5000
Ag1 Ag 0.3333 0.6667 0.2654
```

Principal peaks in the range 2θ from 15° to 90°, by angle:
- 31.53 deg, rel. 1000, hkl 1 0 2
- 36.93 deg, rel. 637, hkl 1 1 0
- 49.33 deg, rel. 284, hkl 2 0 2
- 61.55 deg, rel. 256, hkl 1 1 4
- 63.19 deg, rel. 268, hkl 2 1 2
- 66.54 deg, rel. 110, hkl 3 0 0
- 85.69 deg, rel. 103, hkl 3 0 4
- 87.14 deg, rel. 113, hkl 3 1 2

Repeat the second record exactly.
This entry pairs a crystal structure of TcB2H with its simulated PXRD pattern. Radiation: Cu Kα, 1.54184 Å. Structure: the PBE geometry in Alexandria.
Neutral-atom scattering factors, no anomalous dispersion.

Structural model:
```
data_TcB2H
_chemical_formula_sum 'Tc4 B8 H4'
_cell_length_a 3.1911
_cell_length_b 3.1911
_cell_length_c 12.2993
_cell_angle_alpha 90.00
_cell_angle_beta 90.00
_cell_angle_gamma 90.00
_space_group_name_H-M_alt 'I 41/a m d'
_space_group_IT_number 141
loop_
_space_group_symop_operation_xyz
'x,y,z'
'-x,-y,-z'
'-y+1/4,x+3/4,z+1/4'
'y+1/4,-x+3/4,-z+1/4'
'-x+1/2,-y,z+1/2'
'x+1/2,y,-z+1/2'
'y+1/4,-x+1/4,z+3/4'
'-y+1/4,x+1/4,-z+3/4'
'x,-y,-z'
'-x,y,z'
'-y+1/4,-x+1/4,-z+3/4'
'y+1/4,x+1/4,z+3/4'
'-x+1/2,y,-z+1/2'
'x+1/2,-y,z+1/2'
'y+1/4,x+3/4,-z+1/4'
'-y+1/4,-x+3/4,z+1/4'
'x+1/2,y+1/2,z+1/2'
'-x+1/2,-y+1/2,-z+1/2'
'-y+3/4,x+1/4,z+3/4'
'y+3/4,-x+1/4,-z+3/4'
'-x,-y+1/2,z'
'x,y+1/2,-z'
'y+3/4,-x+3/4,z+1/4'
'-y+3/4,x+3/4,-z+1/4'
'x+1/2,-y+1/2,-z+1/2'
'-x+1/2,y+1/2,z+1/2'
'-y+3/4,-x+3/4,-z+1/4'
'y+3/4,x+3/4,z+1/4'
'-x,y+1/2,-z'
'x,-y+1/2,z'
'y+3/4,x+1/4,-z+3/4'
'-y+3/4,-x+1/4,z+3/4'
loop_
_atom_site_label
_atom_site_type_symbol
_atom_site_fract_x
_atom_site_fract_y
_atom_site_fract_z
Tc1 Tc 0.0000 0.2500 0.3750
B1 B 0.0000 0.0000 0.0000
H1 H 0.0000 0.2500 0.8750
```

Principal peaks in the range 2θ from 15° to 90°, by angle:
- 28.91 deg, rel. 1000, hkl 1 0 1
- 29.04 deg, rel. 474, hkl 0 0 4
- 35.65 deg, rel. 923, hkl 1 0 3
- 42.68 deg, rel. 938, hkl 1 1 2
- 46.62 deg, rel. 419, hkl 1 0 5
- 61.07 deg, rel. 313, hkl 1 1 6
- 65.92 deg, rel. 534, hkl 2 0 4
- 88.23 deg, rel. 244, hkl 2 0 8